ScTl2ZnF6: calculated powder X-ray diffraction pattern (Cu Kα), based on a crystal structure in Alexandria, relaxed with PBE.
Intensities are scaled so that the largest is 100.

Structure:
```
data_ScTl2ZnF6
_chemical_formula_sum 'Sc2 Tl4 Zn2 F12'
_symmetry_space_group_name_H-M 'P m m n'
_symmetry_Int_Tables_number 59
_cell_length_a 6.1857
_cell_length_b 8.7813
_cell_length_c 6.1867
_cell_angle_alpha 90.00
_cell_angle_beta 90.00
_cell_angle_gamma 90.00
loop_
_symmetry_equiv_pos_as_xyz
'x,y,z'
'-x,-y,-z'
'-x+1/2,-y+1/2,z'
'x+1/2,y+1/2,-z'
'x+1/2,-y,-z'
'-x+1/2,y,z'
'-x,y+1/2,-z'
'x,-y+1/2,z'
loop_
_atom_site_label
_atom_site_type_symbol
_atom_site_fract_x
_atom_site_fract_y
_atom_site_fract_z
_atom_site_occupancy
Sc1 Sc 0.2500 0.2500 0.2474 1
Tl1 Tl 0.2500 0.0000 0.7474 1
Zn1 Zn 0.2500 0.7500 0.2492 1
F1 F 0.0147 0.2500 0.0131 1
F2 F 0.0161 0.2500 0.4823 1
F3 F 0.2500 0.0163 0.2471 1
```

Largest 12 diffraction maxima, by angle, 15° ≤ 2θ ≤ 90°:
| Position (°2θ) | I/Imax | index |
| --- | --- | --- |
| 20.3 | 28 | 1 0 1 |
| 28.8 | 100 | 2 0 0 |
| 35.5 | 27 | 2 2 0 |
| 41.1 | 11 | 0 4 0 |
| 41.3 | 22 | 2 0 2 |
| 46.4 | 10 | 3 0 1 |
| 51.0 | 14 | 2 4 0 |
| 51.1 | 28 | 3 2 1 |
| 59.7 | 14 | 2 4 2 |
| 67.7 | 12 | 4 0 2 |
| 82.3 | 7 | 3 6 1 |
| 82.4 | 15 | 5 2 1 |